No. 1
# CeSm6Tm4
Computed powder XRD pattern, λ = 1.5418 Å (Cu Kα). Input: a cell relaxed with PBE.

Atomic structure:
Lattice parameters (Å, degrees): 5.6074 5.6074 25.8125 90.00 90.00 118.11
Element x y z (fractional)
Ce 0.2002 0.7998 0.7500
Ce 0.7998 0.2002 0.2500
Sm 0.1308 0.8692 0.1803
Sm 0.1308 0.8692 0.3197
Sm 0.1948 0.8052 0.5998
Sm 0.1948 0.8052 0.9002
Sm 0.4635 0.5365 0.2500
Sm 0.5000 0.5000 0.0000
Sm 0.5000 0.5000 0.5000
Sm 0.5365 0.4635 0.7500
Sm 0.8052 0.1948 0.0998
Sm 0.8052 0.1948 0.4002
Sm 0.8692 0.1308 0.6803
Sm 0.8692 0.1308 0.8197
Tm 0.1544 0.8456 0.0429
Tm 0.1544 0.8456 0.4571
Tm 0.4636 0.5364 0.1235
Tm 0.4636 0.5364 0.3765
Tm 0.5364 0.4636 0.6235
Tm 0.5364 0.4636 0.8765
Tm 0.8456 0.1544 0.5429
Tm 0.8456 0.1544 0.9571

Largest 6 diffraction maxima, low angle first, 5 to 70 degrees two-theta:
| two_theta | d [Å] | I (rel.) |
| --- | --- | --- |
| 30.23 | 2.956 | 680 |
| 30.55 | 2.926 | 569 |
| 31.01 | 2.883 | 744 |
| 31.94 | 2.802 | 1000 |
| 33.15 | 2.702 | 609 |
| 44.09 | 2.054 | 418 |

---

No. 2
# In3BiPb4
Computed powder XRD pattern, λ = 1.5418 Å (Cu Kα). Input: a cell relaxed with PBE.

Atomic structure:
Lattice parameters (Å, degrees): 7.0101 7.0367 9.8432 90.00 90.00 90.00
Element x y z (fractional)
In 0.0000 0.0000 0.0000
In 0.2500 0.2448 0.2500
In 0.2500 0.7552 0.7500
In 0.5000 0.0000 0.5000
In 0.7500 0.2448 0.2500
In 0.7500 0.7552 0.7500
Bi 0.0000 0.5000 0.5000
Bi 0.5000 0.5000 0.0000
Pb 0.0000 0.0000 0.5000
Pb 0.0000 0.5000 0.0000
Pb 0.2500 0.2477 0.7500
Pb 0.2500 0.7523 0.2500
Pb 0.5000 0.0000 0.0000
Pb 0.5000 0.5000 0.5000
Pb 0.7500 0.2477 0.7500
Pb 0.7500 0.7523 0.2500

Largest 6 diffraction maxima, low angle first, 5 to 70 degrees two-theta:
| two_theta | d [Å] | I (rel.) |
| --- | --- | --- |
| 31.29 | 2.859 | 1000 |
| 36.17 | 2.483 | 342 |
| 36.51 | 2.461 | 167 |
| 52.34 | 1.748 | 240 |
| 61.96 | 1.498 | 144 |
| 62.10 | 1.495 | 144 |

---

No. 3
# SmYHoTm
Computed powder XRD pattern, λ = 1.5418 Å (Cu Kα). Input: a cell relaxed with PBE.

Atomic structure:
Lattice parameters (Å, degrees): 6.1459 6.1459 6.1459 131.69 131.69 70.72
Element x y z (fractional)
Sm 0.0000 0.0000 0.0000
Y 0.2500 0.7500 0.5000
Ho 0.7500 0.2500 0.5000
Tm 0.5000 0.5000 0.0000

Largest 6 diffraction maxima, low angle first, 5 to 70 degrees two-theta:
| two_theta | d [Å] | I (rel.) |
| --- | --- | --- |
| 30.83 | 2.901 | 1000 |
| 35.70 | 2.515 | 338 |
| 35.83 | 2.506 | 167 |
| 51.44 | 1.776 | 358 |
| 61.13 | 1.516 | 284 |
| 61.30 | 1.512 | 141 |

---

No. 4
# Nd2Te4Au
Computed powder XRD pattern, λ = 1.5418 Å (Cu Kα). Input: a cell relaxed with PBE.

Atomic structure:
Lattice parameters (Å, degrees): 7.5288 6.3025 9.6357 90.00 102.93 90.00
Element x y z (fractional)
Nd 0.1962 0.2500 0.3818
Nd 0.2351 0.2500 0.9406
Nd 0.7649 0.7500 0.0594
Nd 0.8038 0.7500 0.6182
Te 0.0365 0.7500 0.3760
Te 0.0920 0.7500 0.9038
Te 0.4613 0.5093 0.2156
Te 0.4613 0.9907 0.2156
Te 0.5387 0.0093 0.7844
Te 0.5387 0.4907 0.7844
Te 0.9080 0.2500 0.0962
Te 0.9635 0.2500 0.6240
Au 0.3437 0.7500 0.5725
Au 0.6563 0.2500 0.4275

Largest 6 diffraction maxima, low angle first, 5 to 70 degrees two-theta:
| two_theta | d [Å] | I (rel.) |
| --- | --- | --- |
| 27.29 | 3.267 | 1000 |
| 28.32 | 3.151 | 336 |
| 30.86 | 2.898 | 635 |
| 34.27 | 2.617 | 456 |
| 34.94 | 2.568 | 331 |
| 37.16 | 2.420 | 363 |